# Li3Ag5Pd2
Calculated X-ray diffraction stick pattern, copper Kα. Input: a DFT-relaxed cell (GGA-PBE, Alexandria).
Neutral-atom scattering factors, no anomalous dispersion.

Cell and atoms:
```
data_Li3Ag5Pd2
_chemical_formula_sum 'Li12 Ag20 Pd8'
_cell_length_a 9.517
_cell_length_b 12.761
_cell_length_c 5.314
_cell_angle_alpha 90.00
_cell_angle_beta 91.88
_cell_angle_gamma 90.00
_space_group_name_H-M_alt 'C 1 2/c 1'
_space_group_IT_number 15
loop_
_space_group_symop_operation_xyz
'x,y,z'
'-x,-y,-z'
'-x,y,-z+1/2'
'x,-y,z+1/2'
'x+1/2,y+1/2,z'
'-x+1/2,-y+1/2,-z'
'-x+1/2,y+1/2,-z+1/2'
'x+1/2,-y+1/2,z+1/2'
loop_
_atom_site_label
_atom_site_fract_x
_atom_site_fract_y
_atom_site_fract_z
Li1 0.000 0.051 0.250
Li2 0.124 0.350 0.616
Ag1 0.000 0.452 0.250
Ag2 0.125 0.155 0.615
Ag3 0.248 0.048 0.015
Pd1 0.124 0.250 0.122
```

Principal peaks in the range 2θ from 5° to 70°, low angle first:
two_theta, I_rel, (hkl)
21.77, 17.1, 0 2 1
22.90, 21.3, 1 3 0
38.87, 33.5, 3 3 -1
39.40, 34.9, 2 0 2
40.48, 100.0, 1 5 1
40.90, 34.3, 2 2 -2